1.
Theoretical PXRD pattern
Compound: Li2Se2O7
Radiation: a wavelength of 1.5418 Å
Structure: a crystal structure in Alexandria, relaxed with PBE
Kinematic intensities with the Lorentz-polarization factor, no thermal factor.

Cell and atoms:
abc: 14.123 8.597 5.196
angles: 90.00 90.00 90.00
Fractional coordinates of all 44 atoms:
Li1 0.101 0.068 0.095
Li2 0.101 0.432 0.095
Li3 0.399 0.568 0.595
Li4 0.399 0.932 0.595
Li5 0.601 0.068 0.405
Li6 0.601 0.432 0.405
Li7 0.899 0.568 0.905
Li8 0.899 0.932 0.905
Se1 0.002 0.750 0.389
Se2 0.219 0.750 0.267
Se3 0.281 0.250 0.767
Se4 0.498 0.250 0.889
Se5 0.502 0.750 0.111
Se6 0.719 0.750 0.233
Se7 0.781 0.250 0.733
Se8 0.998 0.250 0.611
O1 0.008 0.089 0.782
O2 0.008 0.411 0.782
O3 0.062 0.250 0.346
O4 0.122 0.750 0.513
O5 0.187 0.250 0.957
O6 0.206 0.589 0.104
O7 0.206 0.911 0.104
O8 0.294 0.089 0.604
O9 0.294 0.411 0.604
O10 0.313 0.750 0.457
O11 0.378 0.250 0.013
O12 0.438 0.750 0.846
O13 0.492 0.589 0.282
O14 0.492 0.911 0.282
O15 0.508 0.089 0.718
O16 0.508 0.411 0.718
O17 0.562 0.250 0.154
O18 0.622 0.750 0.987
O19 0.687 0.250 0.543
O20 0.706 0.589 0.396
O21 0.706 0.911 0.396
O22 0.794 0.089 0.896
O23 0.794 0.411 0.896
O24 0.813 0.750 0.043
O25 0.878 0.250 0.487
O26 0.938 0.750 0.654
O27 0.992 0.589 0.218
O28 0.992 0.911 0.218

Top 10 peaks for 2θ = 10–80°, by intensity:
hkl 0 1 1, 2θ = 19.97°, d 4.447, intensity 100; hkl 0 2 0, 2θ = 20.66°, d 4.298, intensity 65; hkl 4 1 1, 2θ = 32.38°, d 2.765, intensity 48; hkl 4 0 0, 2θ = 25.22°, d 3.531, intensity 34; hkl 1 2 1, 2θ = 27.66°, d 3.225, intensity 33; hkl 1 0 1, 2θ = 18.19°, d 4.876, intensity 18; hkl 3 0 1, 2θ = 25.53°, d 3.489, intensity 17; hkl 4 2 0, 2θ = 32.83°, d 2.728, intensity 14; hkl 0 4 0, 2θ = 42.04°, d 2.149, intensity 12; hkl 4 1 0, 2θ = 27.31°, d 3.266, intensity 11

2.
Theoretical PXRD pattern
Compound: Cs2PuGeI6
Radiation: a wavelength of 1.5418 Å
Structure: a crystal structure in Alexandria, relaxed with PBE
Kinematic intensities with the Lorentz-polarization factor, no thermal factor.

Cell and atoms:
abc: 8.762 12.381 8.766
angles: 90.00 90.00 90.00
Fractional coordinates of all 20 atoms:
Cs1 0.250 0.000 0.249
Cs2 0.250 0.500 0.249
Cs3 0.750 0.000 0.751
Cs4 0.750 0.500 0.751
Pu1 0.250 0.250 0.749
Pu2 0.750 0.750 0.251
Ge1 0.250 0.750 0.750
Ge2 0.750 0.250 0.250
I1 0.004 0.750 0.506
I2 0.005 0.750 0.997
I3 0.250 0.504 0.750
I4 0.250 0.996 0.750
I5 0.495 0.750 0.997
I6 0.496 0.750 0.506
I7 0.504 0.250 0.494
I8 0.505 0.250 0.003
I9 0.750 0.004 0.250
I10 0.750 0.496 0.250
I11 0.995 0.250 0.003
I12 0.996 0.250 0.494

Top 10 peaks for 2θ = 10–80°, by intensity:
hkl 2 0 2, 2θ = 28.82°, d 3.097, intensity 100; hkl 4 0 0, 2θ = 41.22°, d 2.190, intensity 75; hkl 2 2 0, 2θ = 24.90°, d 3.577, intensity 56; hkl 6 0 2, 2θ = 67.63°, d 1.385, intensity 34; hkl 2 0 0, 2θ = 20.27°, d 4.380, intensity 27; hkl 1 0 1, 2θ = 14.30°, d 6.195, intensity 27; hkl 4 4 0, 2θ = 51.07°, d 1.788, intensity 27; hkl 6 4 2, 2θ = 75.13°, d 1.265, intensity 26; hkl 4 2 2, 2θ = 48.75°, d 1.868, intensity 25; hkl 3 0 1, 2θ = 32.31°, d 2.770, intensity 15